Computed X-ray powder pattern
Compound: La3NdCu
Radiation: Cu Ka
Structure: a structure optimized by DFT (PBE)
Intensities are scaled so that the largest is 100.

Main lines, in order of rising 2θ (2θ = 10–80°):
| index | Position (°2θ) | I_rel |
| --- | --- | --- |
| 1 -1 0 | 26.0 | 15 |
| 0 3 1 | 30.6 | 19 |
| 0 2 -2 | 30.8 | 53 |
| 0 2 3 | 31.0 | 44 |
| 1 2 1 | 31.4 | 100 |
| 1 0 -2 | 33.4 | 97 |
| -1 3 3 | 47.4 | 17 |
| 2 0 1 | 48.8 | 18 |
| 1 2 6 | 58.0 | 15 |
| 2 -2 3 | 58.9 | 22 |

```
10
Lattice="3.7352 0.0000 0.0000 0.0156 8.7864 0.0000 1.8469 2.1232 9.6233" Properties=species:S:1:pos:R:3 pbc="T T T"
La 0.9421 2.7871 4.7970
La 0.9515 8.0336 1.2895
La 0.9442 2.9770 1.0550
La 4.6535 7.9326 8.5683
La 4.6462 2.8760 8.3338
La 4.6556 8.1224 4.8263
Nd 2.7870 5.4997 6.5822
Nd 2.8107 5.4098 3.0411
Cu 2.7899 9.6869 6.8418
Cu 2.8078 1.2226 2.7815
```